Structure and simulated PXRD pattern of SmErBiSe (a GGA-PBE-relaxed structure; copper Kα).
Intensities are scaled so that the largest is 100.

Crystal structure
a b c (Å): 7.943 7.943 7.943
angles (deg): 30.67 30.67 30.67
Atoms (fractional coordinates):
Sm (0.000, 0.000, 0.000)
Er (0.163, 0.163, 0.163)
Bi (0.578, 0.578, 0.578)
Se (0.753, 0.753, 0.753)

Most intense lines, 5 to 70 degrees two-theta, low angle first:
2θ/deg, I_rel
11.70, 15.9
25.71, 67.2
31.52, 100.0
37.15, 62.3
43.06, 56.0
47.21, 13.5
48.12, 12.9
54.33, 21.8
58.15, 17.2
66.54, 29.5